Theoretical powder diffraction line list of Tb12Pm2Dy for copper Kα, from a cell relaxed with PBE.

The 6 most intense peaks (10° ≤ 2θ ≤ 90°), in order of falling intensity:
Position (°2θ), I (rel.)
31.4, 100.0
31.7, 94.6
31.8, 48.9
56.3, 27.4
62.3, 27.4
45.3, 23.4

Structural model:
```
data_Tb12Pm2Dy
_space_group_name_H-M_alt 'P 1'
_space_group_IT_number 1
_cell_length_a 6.636
_cell_length_b 6.636
_cell_length_c 24.648
_cell_angle_alpha 84.41
_cell_angle_beta 84.50
_cell_angle_gamma 63.83
loop_
_space_group_symop_operation_xyz
'x,y,z'
loop_
_atom_site_label
_atom_site_type_symbol
_atom_site_fract_x
_atom_site_fract_y
_atom_site_fract_z
Tb1 Tb 0.000 0.000 0.000
Tb2 Tb 0.011 0.512 0.952
Tb3 Tb 0.079 0.580 0.680
Tb4 Tb 0.112 0.616 0.545
Tb5 Tb 0.198 0.197 0.210
Tb6 Tb 0.230 0.231 0.078
Tb7 Tb 0.296 0.298 0.812
Tb8 Tb 0.312 0.815 0.745
Tb9 Tb 0.378 0.882 0.477
Tb10 Tb 0.393 0.397 0.418
Tb11 Tb 0.417 0.916 0.337
Tb12 Tb 0.431 0.431 0.278
Tb13 Tb 0.500 0.500 0.000
Tb14 Tb 0.511 0.012 0.952
Tb15 Tb 0.579 0.080 0.680
Tb16 Tb 0.612 0.116 0.545
Tb17 Tb 0.698 0.697 0.210
Tb18 Tb 0.730 0.731 0.078
Tb19 Tb 0.796 0.798 0.812
Tb20 Tb 0.812 0.315 0.745
Tb21 Tb 0.878 0.383 0.476
Tb22 Tb 0.893 0.897 0.418
Tb23 Tb 0.917 0.416 0.337
Tb24 Tb 0.931 0.931 0.278
Pm1 Pm 0.096 0.098 0.611
Pm2 Pm 0.214 0.714 0.143
Pm3 Pm 0.596 0.598 0.611
Pm4 Pm 0.714 0.214 0.143
Dy1 Dy 0.280 0.781 0.875
Dy2 Dy 0.780 0.282 0.875
```